The following is a computed powder X-ray diffraction pattern of NdSm5Te5. It was derived from a DFT-relaxed cell (GGA-PBE, Alexandria), using Cu Kα (weighted mean of Kα1 and Kα2).
Kinematic intensities with the Lorentz-polarization factor, no thermal factor.

Cell and atoms:
```
NdSm5Te5
1.0
6.943 -3.123 0.000
6.943 3.123 0.000
-2.750 0.000 8.317
Nd Sm Te
1 5 5
direct
0.000 0.000 0.000
0.000 0.000 0.500
0.338 0.338 0.177
0.339 0.339 0.661
0.661 0.661 0.339
0.662 0.662 0.823
0.167 0.167 0.337
0.174 0.174 0.835
0.500 0.500 0.000
0.826 0.826 0.165
0.833 0.833 0.663
```

Main lines, in order of rising 2θ (10° ≤ 2θ ≤ 90°):
| 2theta | d [Å] | I (rel.) |
| --- | --- | --- |
| 28.58 | 3.123 | 515 |
| 28.78 | 3.102 | 1000 |
| 41.02 | 2.200 | 955 |
| 41.22 | 2.190 | 188 |
| 50.81 | 1.797 | 203 |
| 50.93 | 1.793 | 203 |
| 67.37 | 1.390 | 130 |
| 74.60 | 1.272 | 129 |